# BaSr7Fe8O24
Computed X-ray powder pattern, Cu Kα. Input: DFT lattice parameters and positions (GGA+U).
Neutral-atom scattering factors, no anomalous dispersion.

Cell and atoms:
Cell lengths 7.859, 7.859, 7.859 Å; angles 90.00, 90.00, 90.00 degrees
Sites, in units of the cell vectors:
Ba  0.000  0.000  0.000
Sr  0.000  0.000  0.500
Sr  0.000  0.500  0.000
Sr  0.000  0.500  0.500
Sr  0.500  0.000  0.000
Sr  0.500  0.000  0.500
Sr  0.500  0.500  0.000
Sr  0.500  0.500  0.500
Fe  0.251  0.251  0.251
Fe  0.251  0.251  0.749
Fe  0.251  0.749  0.251
Fe  0.251  0.749  0.749
Fe  0.749  0.251  0.251
Fe  0.749  0.251  0.749
Fe  0.749  0.749  0.251
Fe  0.749  0.749  0.749
O  0.000  0.254  0.254
O  0.000  0.254  0.746
O  0.000  0.746  0.254
O  0.000  0.746  0.746
O  0.251  0.251  0.500
O  0.251  0.500  0.251
O  0.251  0.500  0.749
O  0.251  0.749  0.500
O  0.254  0.000  0.254
O  0.254  0.000  0.746
O  0.254  0.254  0.000
O  0.254  0.746  0.000
O  0.500  0.251  0.251
O  0.500  0.251  0.749
O  0.500  0.749  0.251
O  0.500  0.749  0.749
O  0.746  0.000  0.254
O  0.746  0.000  0.746
O  0.746  0.254  0.000
O  0.746  0.746  0.000
O  0.749  0.251  0.500
O  0.749  0.500  0.251
O  0.749  0.500  0.749
O  0.749  0.749  0.500

Largest 10 diffraction maxima, most intense first, 2θ from 10° to 90°:
2θ 32.22, intensity 100.0, hkl 2 2 0
2θ 46.20, intensity 37.9, hkl 4 0 0
2θ 57.44, intensity 37.8, hkl 4 2 2
2θ 67.41, intensity 21.8, hkl 4 4 0
2θ 76.69, intensity 16.2, hkl 6 2 0
2θ 39.73, intensity 13.9, hkl 2 2 2
2θ 85.63, intensity 7.2, hkl 4 4 4
2θ 81.18, intensity 4.1, hkl 6 2 2
2θ 22.63, intensity 1.5, hkl 2 0 0
2θ 52.04, intensity 1.3, hkl 4 2 0